Rb2CuRuF6: computed X-ray diffraction stick pattern (Cu Kα X-rays), based on a GGA-PBE-relaxed structure.
No peak broadening, texture or thermal motion is included.

Top 10 peaks for 5° ≤ 2θ ≤ 70°, low angle first:
18.0 deg, rel. 4
20.9 deg, rel. 2
29.7 deg, rel. 100
35.0 deg, rel. 1
36.6 deg, rel. 6
42.5 deg, rel. 42
52.7 deg, rel. 40
56.1 deg, rel. 1
61.6 deg, rel. 25
69.9 deg, rel. 17

Crystal structure
Cell: 6.0195 6.0195 6.0195 Å, 60.00 60.00 60.00°
Positions (direct):
Rb 0.2500 0.2500 0.2500
Rb 0.7500 0.7500 0.7500
Cu 0.0000 0.0000 0.0000
Ru 0.5000 0.5000 0.5000
F 0.2568 0.2568 0.7432
F 0.2568 0.7432 0.2568
F 0.2568 0.7432 0.7432
F 0.7432 0.2568 0.2568
F 0.7432 0.2568 0.7432
F 0.7432 0.7432 0.2568



NdAu: computed X-ray diffraction stick pattern (Cu Kα X-rays), based on a GGA-PBE-relaxed structure.
No peak broadening, texture or thermal motion is included.

Top 10 peaks for 5° ≤ 2θ ≤ 70°, low angle first:
30.6 deg, rel. 100
31.5 deg, rel. 31
36.8 deg, rel. 31
37.5 deg, rel. 38
38.1 deg, rel. 92
46.7 deg, rel. 21
49.7 deg, rel. 18
60.9 deg, rel. 14
61.4 deg, rel. 18
68.1 deg, rel. 17

Crystal structure
Cell: 6.0074 6.0074 4.7966 Å, 90.00 90.00 142.21°
Positions (direct):
Nd 0.1384 0.8616 0.7500
Nd 0.8616 0.1384 0.2500
Au 0.4140 0.5860 0.7500
Au 0.5860 0.4140 0.2500